Pm2Cd3Pt4: simulated X-ray diffraction stick pattern (Cu Kα (weighted mean of Kα1 and Kα2)), based on a GGA-PBE-relaxed structure.
Neutral-atom scattering factors, no anomalous dispersion.

a b c (Å): 7.5137 7.4614 7.2855
angles (deg): 90.00 109.49 90.00
Space group P2_1/c (No. 14)
Symmetry-distinct sites (fractional):
1 Pm 0.1898 0.1768 0.0559 (multiplicity 4)
2 Cd 0.2527 0.6702 0.2429 (multiplicity 4)
3 Cd 0.5000 0.0000 0.5000 (multiplicity 2)
4 Pt 0.0734 0.5376 0.8428 (multiplicity 4)
5 Pt 0.4834 0.1362 0.8681 (multiplicity 4)

The 10 most intense peaks (2θ from 10° to 90°), most intense first:
| d [Å] | two_theta | intensity | h k l |
| --- | --- | --- | --- |
| 2.581 | 34.76 | 100.0 | 1 1 2 |
| 2.623 | 34.18 | 95.4 | 2 2 -1 |
| 2.309 | 39.01 | 85.7 | 1 1 -3 |
| 2.339 | 38.50 | 63.2 | 0 3 1 |
| 2.345 | 38.38 | 58.2 | 3 0 -2 |
| 2.799 | 31.97 | 46.3 | 2 1 -2 |
| 2.589 | 34.64 | 43.9 | 1 2 -2 |
| 2.569 | 34.93 | 39.5 | 2 2 0 |
| 2.809 | 31.85 | 38.6 | 1 2 1 |
| 2.614 | 34.30 | 34.8 | 2 1 1 |



MgPaCu: simulated X-ray diffraction stick pattern (Cu Kα (weighted mean of Kα1 and Kα2)), based on a GGA-PBE-relaxed structure.
Neutral-atom scattering factors, no anomalous dispersion.

a b c (Å): 4.6455 4.6455 19.7874
angles (deg): 90.00 90.00 120.00
Space group R-3m (No. 166, hexagonal axes)
Symmetry-distinct sites (fractional):
1 Mg 0.0000 0.0000 0.2012 (multiplicity 6)
2 Pa 0.0000 0.0000 0.3634 (multiplicity 6)
3 Cu 0.0000 0.0000 0.0670 (multiplicity 6)

The 10 most intense peaks (2θ from 10° to 90°), most intense first:
| d [Å] | two_theta | intensity | h k l |
| --- | --- | --- | --- |
| 6.596 | 13.42 | 100.0 | 0 0 3 |
| 2.323 | 38.77 | 67.5 | 1 1 0 |
| 3.121 | 28.60 | 67.2 | 1 0 4 |
| 2.313 | 38.94 | 61.0 | 1 0 7 |
| 2.191 | 41.20 | 40.6 | 1 1 3 |
| 1.339 | 70.30 | 21.4 | 2 1 7 |
| 1.639 | 56.12 | 21.1 | 0 2 7 |
| 1.341 | 70.18 | 17.9 | 3 0 0 |
| 1.863 | 48.88 | 16.0 | 0 2 4 |
| 1.161 | 83.19 | 15.4 | 2 2 0 |



Hf4InC: simulated X-ray diffraction stick pattern (Cu Kα (weighted mean of Kα1 and Kα2)), based on a GGA-PBE-relaxed structure.
Neutral-atom scattering factors, no anomalous dispersion.

a b c (Å): 7.7883 12.8429 5.5807
angles (deg): 90.00 118.01 90.00
Space group C2/c (No. 15)
Symmetry-distinct sites (fractional):
1 Hf 0.1455 0.2033 0.1574 (multiplicity 8)
2 Hf 0.1920 0.0564 0.6927 (multiplicity 8)
3 In 0.0000 0.3994 0.7500 (multiplicity 4)
4 C 0.0000 0.0655 0.2500 (multiplicity 4)

The 10 most intense peaks (2θ from 10° to 90°), most intense first:
| d [Å] | two_theta | intensity | h k l |
| --- | --- | --- | --- |
| 2.689 | 33.32 | 100.0 | 2 0 -2 |
| 2.444 | 36.77 | 73.8 | 2 4 -1 |
| 2.629 | 34.10 | 58.2 | 1 3 1 |
| 2.256 | 39.96 | 31.6 | 3 1 0 |
| 2.463 | 36.47 | 25.7 | 0 0 2 |
| 1.609 | 57.24 | 25.0 | 2 4 -3 |
| 2.545 | 35.27 | 19.7 | 3 1 -1 |
| 1.434 | 65.03 | 17.2 | 5 3 -1 |
| 1.363 | 68.89 | 16.0 | 5 3 -3 |
| 6.062 | 14.61 | 15.6 | 1 1 0 |



Sm7Y2Ho2: simulated X-ray diffraction stick pattern (Cu Kα (weighted mean of Kα1 and Kα2)), based on a GGA-PBE-relaxed structure.
Neutral-atom scattering factors, no anomalous dispersion.

a b c (Å): 11.5170 11.4034 6.0737
angles (deg): 90.00 112.50 90.00
Space group C2/m (No. 12)
Symmetry-distinct sites (fractional):
1 Sm 0.0000 0.0000 0.0000 (multiplicity 2)
2 Sm 0.1797 0.2301 0.1746 (multiplicity 8)
3 Sm 0.2341 0.0000 0.5954 (multiplicity 4)
4 Y 0.0000 0.2174 0.5000 (multiplicity 4)
5 Ho 0.0810 0.5000 0.8001 (multiplicity 4)

The 10 most intense peaks (2θ from 10° to 90°), most intense first:
| d [Å] | two_theta | intensity | h k l |
| --- | --- | --- | --- |
| 2.846 | 31.44 | 100.0 | 2 2 1 |
| 2.655 | 33.76 | 69.8 | 2 2 -2 |
| 2.851 | 31.37 | 50.8 | 0 4 0 |
| 2.912 | 30.70 | 34.0 | 1 1 -2 |
| 3.525 | 25.27 | 29.1 | 3 1 -1 |
| 2.865 | 31.22 | 27.9 | 4 0 -1 |
| 2.021 | 44.85 | 16.3 | 4 4 -1 |
| 1.818 | 50.18 | 15.0 | 1 5 -2 |
| 1.645 | 55.90 | 13.7 | 2 6 1 |
| 1.491 | 62.25 | 13.2 | 3 7 -1 |



Gd2TlFe: simulated X-ray diffraction stick pattern (Cu Kα (weighted mean of Kα1 and Kα2)), based on a GGA-PBE-relaxed structure.
Neutral-atom scattering factors, no anomalous dispersion.

a b c (Å): 3.4211 3.4211 8.2845
angles (deg): 90.00 90.00 90.00
Space group P4/mmm (No. 123)
Symmetry-distinct sites (fractional):
1 Gd 0.0000 0.0000 0.2023 (multiplicity 2)
2 Tl 0.5000 0.5000 0.5000 (multiplicity 1)
3 Fe 0.5000 0.5000 0.0000 (multiplicity 1)

The 10 most intense peaks (2θ from 10° to 90°), most intense first:
| d [Å] | two_theta | intensity | h k l |
| --- | --- | --- | --- |
| 2.638 | 33.99 | 100.0 | 1 0 2 |
| 2.419 | 37.17 | 47.9 | 1 1 0 |
| 3.162 | 28.22 | 32.5 | 1 0 1 |
| 1.435 | 64.98 | 30.5 | 2 1 2 |
| 1.820 | 50.13 | 18.9 | 1 1 3 |
| 1.711 | 53.58 | 16.7 | 2 0 0 |
| 2.761 | 32.42 | 15.6 | 0 0 3 |
| 1.491 | 62.26 | 13.7 | 1 0 5 |
| 1.124 | 86.60 | 11.5 | 2 1 5 |
| 1.573 | 58.68 | 10.8 | 1 1 4 |



Na5ZnIn2: simulated X-ray diffraction stick pattern (Cu Kα (weighted mean of Kα1 and Kα2)), based on a GGA-PBE-relaxed structure.
Neutral-atom scattering factors, no anomalous dispersion.

a b c (Å): 6.8759 13.5642 4.6390
angles (deg): 90.00 90.00 90.00
Space group Pbam (No. 55)
Symmetry-distinct sites (fractional):
1 Na 0.0000 0.0000 0.0000 (multiplicity 2)
2 Na 0.0558 0.2574 0.0000 (multiplicity 4)
3 Na 0.2059 0.8706 0.5000 (multiplicity 4)
4 Zn 0.0000 0.5000 0.0000 (multiplicity 2)
5 In 0.1838 0.6034 0.5000 (multiplicity 4)

The 10 most intense peaks (2θ from 10° to 90°), most intense first:
| d [Å] | two_theta | intensity | h k l |
| --- | --- | --- | --- |
| 2.737 | 32.71 | 100.0 | 0 4 1 |
| 2.762 | 32.41 | 57.3 | 2 0 1 |
| 4.828 | 18.37 | 51.4 | 1 2 0 |
| 6.133 | 14.44 | 47.4 | 1 1 0 |
| 3.345 | 26.65 | 43.9 | 1 2 1 |
| 2.414 | 37.24 | 33.7 | 2 4 0 |
| 2.319 | 38.82 | 28.7 | 0 0 2 |
| 2.032 | 44.59 | 26.2 | 0 6 1 |
| 6.782 | 13.05 | 25.6 | 0 2 0 |
| 2.707 | 33.10 | 23.5 | 2 1 1 |



SrLi4Mg8: simulated X-ray diffraction stick pattern (Cu Kα (weighted mean of Kα1 and Kα2)), based on a GGA-PBE-relaxed structure.
Neutral-atom scattering factors, no anomalous dispersion.

a b c (Å): 10.5512 10.5512 5.5194
angles (deg): 90.00 90.00 90.00
Space group I4/mmm (No. 139)
Symmetry-distinct sites (fractional):
1 Sr 0.0000 0.0000 0.0000 (multiplicity 2)
2 Li 0.2500 0.2500 0.2500 (multiplicity 8)
3 Mg 0.0000 0.2207 0.5000 (multiplicity 8)
4 Mg 0.0000 0.3577 0.0000 (multiplicity 8)

The 10 most intense peaks (2θ from 10° to 90°), most intense first:
| d [Å] | two_theta | intensity | h k l |
| --- | --- | --- | --- |
| 2.586 | 34.70 | 100.0 | 3 2 1 |
| 2.966 | 30.13 | 47.5 | 3 0 1 |
| 5.276 | 16.81 | 46.3 | 2 0 0 |
| 3.587 | 24.82 | 41.2 | 2 1 1 |
| 1.513 | 61.27 | 32.9 | 6 3 1 |
| 2.760 | 32.44 | 28.0 | 0 0 2 |
| 2.638 | 33.99 | 27.1 | 4 0 0 |
| 2.445 | 36.75 | 24.6 | 2 0 2 |
| 1.558 | 59.33 | 19.8 | 3 2 3 |
| 3.337 | 26.72 | 17.6 | 3 1 0 |



NaPaS3: simulated X-ray diffraction stick pattern (Cu Kα (weighted mean of Kα1 and Kα2)), based on a GGA-PBE-relaxed structure.
Neutral-atom scattering factors, no anomalous dispersion.

a b c (Å): 6.9014 6.9014 20.3290
angles (deg): 90.00 90.00 120.00
Space group R32 (No. 155, hexagonal axes)
Symmetry-distinct sites (fractional):
1 Na 0.0000 0.0000 0.1403 (multiplicity 6)
2 Pa 0.0000 0.0000 0.3359 (multiplicity 6)
3 S 0.0051 0.4183 0.9185 (multiplicity 18)

The 10 most intense peaks (2θ from 10° to 90°), most intense first:
| d [Å] | two_theta | intensity | h k l |
| --- | --- | --- | --- |
| 6.776 | 13.06 | 100.0 | 0 0 3 |
| 2.418 | 37.19 | 94.7 | 1 1 6 |
| 3.075 | 29.04 | 90.7 | 1 1 3 |
| 5.734 | 15.45 | 73.0 | 1 0 1 |
| 3.451 | 25.82 | 70.5 | 1 1 0 |
| 5.152 | 17.21 | 62.4 | 0 1 2 |
| 3.872 | 22.97 | 35.8 | 1 0 4 |
| 1.890 | 48.15 | 29.1 | 1 1 9 |
| 1.992 | 45.53 | 26.6 | 3 0 0 |
| 1.911 | 47.57 | 25.1 | 3 0 3 |



H2PbSe: simulated X-ray diffraction stick pattern (Cu Kα (weighted mean of Kα1 and Kα2)), based on a GGA-PBE-relaxed structure.
Neutral-atom scattering factors, no anomalous dispersion.

a b c (Å): 4.1312 6.2120 7.9704
angles (deg): 90.00 104.97 90.00
Space group P2_1/m (No. 11)
Symmetry-distinct sites (fractional):
1 H 0.0198 0.1895 0.0364 (multiplicity 4)
2 Pb 0.3068 0.7500 0.6145 (multiplicity 2)
3 Se 0.3191 0.2500 0.6374 (multiplicity 2)

The 10 most intense peaks (2θ from 10° to 90°), most intense first:
| d [Å] | two_theta | intensity | h k l |
| --- | --- | --- | --- |
| 7.700 | 11.49 | 100.0 | 0 0 1 |
| 3.218 | 27.72 | 44.9 | 1 0 -2 |
| 2.235 | 40.36 | 32.9 | 1 2 -2 |
| 3.106 | 28.74 | 24.9 | 0 2 0 |
| 2.469 | 36.39 | 22.7 | 1 0 2 |
| 1.933 | 47.01 | 22.3 | 1 2 2 |
| 2.880 | 31.05 | 20.5 | 0 2 1 |
| 3.357 | 26.55 | 20.2 | 1 1 0 |
| 3.990 | 22.28 | 11.6 | 1 0 -1 |
| 3.272 | 27.25 | 10.1 | 0 1 2 |



LaNpMn: simulated X-ray diffraction stick pattern (Cu Kα (weighted mean of Kα1 and Kα2)), based on a GGA-PBE-relaxed structure.
Neutral-atom scattering factors, no anomalous dispersion.

a b c (Å): 6.2717 5.7880 7.9692
angles (deg): 90.00 108.08 90.00
Space group P2_1/c (No. 14)
Symmetry-distinct sites (fractional):
1 La 0.0731 0.2461 0.3957 (multiplicity 4)
2 Np 0.4865 0.5586 0.2930 (multiplicity 4)
3 Mn 0.3828 0.7012 0.9622 (multiplicity 4)

The 10 most intense peaks (2θ from 10° to 90°), most intense first:
| d [Å] | two_theta | intensity | h k l |
| --- | --- | --- | --- |
| 5.962 | 14.86 | 100.0 | 1 0 0 |
| 2.981 | 29.97 | 87.4 | 2 0 0 |
| 2.604 | 34.45 | 81.6 | 1 2 0 |
| 2.298 | 39.21 | 80.4 | 0 2 2 |
| 3.161 | 28.24 | 66.9 | 1 1 -2 |
| 2.825 | 31.67 | 58.5 | 1 0 2 |
| 2.539 | 35.35 | 40.8 | 1 1 2 |
| 2.650 | 33.82 | 39.8 | 2 1 0 |
| 2.803 | 31.93 | 38.7 | 2 0 -2 |
| 1.588 | 58.07 | 34.8 | 2 3 -2 |